The following is a computed powder diffractogram of Ho. It was derived from DFT lattice parameters and positions (GGA-PBE), using Cu Kα, 1.54184 Å.

Cell and atoms:
abc: 3.5339 3.5339 25.4213
angles: 90.00 90.00 120.00
Space group R-3m (No. 166, hexagonal axes)
One atom of each set of equivalent atoms:
1 Ho 0.0000 0.0000 0.0000 x3
2 Ho 0.0000 0.0000 0.2222 x6

Principal peaks in the range 15° ≤ 2θ ≤ 90°, most intense first:
2θ/deg, intensity, index
32.47, 100.0, 1 0 4
34.20, 87.5, 0 1 5
31.68, 50.0, 0 0 9
61.95, 44.4, 1 1 9
51.74, 38.2, 1 1 0
29.40, 36.8, 1 0 1
55.79, 21.6, 1 0 13
59.16, 18.3, 0 1 14
88.66, 17.2, 1 1 18
62.42, 15.4, 0 2 4

---

The following is a computed powder diffractogram of Ho. It was derived from DFT lattice parameters and positions (GGA-PBE), using Cu Kα, 1.54184 Å.

Cell and atoms:
abc: 4.9672 4.9672 4.9672
angles: 90.00 90.00 90.00
Space group Fm-3m (No. 225)
One atom of each set of equivalent atoms:
1 Ho 0.0000 0.0000 0.0000 x4

Principal peaks in the range 15° ≤ 2θ ≤ 90°, most intense first:
2θ/deg, intensity, index
31.19, 100.0, 1 1 1
36.17, 50.6, 2 0 0
61.96, 42.6, 3 1 1
52.08, 35.9, 2 2 0
85.14, 17.9, 3 3 1
87.91, 16.8, 4 2 0
65.05, 12.3, 2 2 2
76.75, 5.7, 4 0 0

---

The following is a computed powder diffractogram of HoInI6. It was derived from DFT lattice parameters and positions (GGA-PBE), using Cu Kα, 1.54184 Å.

Cell and atoms:
abc: 7.5772 13.1433 7.7807
angles: 90.00 108.44 90.00
Space group C2 (No. 5)
One atom of each set of equivalent atoms:
1 Ho 0.0000 0.0000 0.0000 x2
2 In 0.0000 0.6682 0.0000 x2
3 I 0.2195 0.8312 0.2388 x4
4 I 0.2423 0.6584 0.7658 x4
5 I 0.2486 0.5135 0.2356 x4

Principal peaks in the range 15° ≤ 2θ ≤ 90°, most intense first:
2θ/deg, intensity, index
28.47, 100.0, 1 3 1
41.24, 51.7, 0 6 0
28.67, 49.1, 2 0 -2
24.82, 43.6, 1 3 -1
40.43, 37.5, 1 3 -3
40.18, 18.9, 2 0 2
50.97, 17.9, 2 6 -2
24.11, 16.0, 0 0 2
23.82, 15.3, 2 0 -1
67.42, 13.8, 1 9 1

---

The following is a computed powder diffractogram of HoIrI6. It was derived from DFT lattice parameters and positions (GGA-PBE), using Cu Kα, 1.54184 Å.

Cell and atoms:
abc: 7.3119 12.6534 7.6183
angles: 90.00 108.07 90.00
Space group C2 (No. 5)
One atom of each set of equivalent atoms:
1 Ho 0.0000 0.0000 0.0000 x2
2 Ir 0.0000 0.6677 0.0000 x2
3 I 0.2153 0.8176 0.2261 x4
4 I 0.2248 0.5197 0.2235 x4
5 I 0.2281 0.6655 0.7798 x4

Principal peaks in the range 15° ≤ 2θ ≤ 90°, most intense first:
2θ/deg, intensity, index
29.39, 100.0, 1 3 1
29.59, 48.8, 2 0 -2
42.86, 47.3, 0 6 0
41.53, 34.8, 1 3 -3
41.20, 23.2, 2 0 2
24.71, 20.5, 2 0 -1
37.94, 19.6, 1 3 2
16.27, 18.3, 1 1 -1
25.77, 16.7, 1 3 -1
52.97, 15.2, 2 6 -2

---

The following is a computed powder diffractogram of Nd2Ho2I5N. It was derived from DFT lattice parameters and positions (GGA-PBE), using Cu Kα, 1.54184 Å.

Cell and atoms:
abc: 19.3674 3.9818 8.7366
angles: 90.00 102.54 90.00
Space group C2/m (No. 12)
One atom of each set of equivalent atoms:
1 Nd 0.0006 0.0000 0.3061 x4
2 Ho 0.1225 0.5000 0.5601 x4
3 I 0.0000 0.5000 0.0000 x2
4 I 0.1660 0.0000 0.8292 x4
5 I 0.1686 0.0000 0.3337 x4
6 N 0.0000 0.5000 0.5000 x2

Principal peaks in the range 15° ≤ 2θ ≤ 90°, most intense first:
2θ/deg, intensity, index
30.37, 100.0, 1 1 -2
32.67, 40.6, 5 1 0
28.32, 34.5, 6 0 0
41.88, 20.8, 5 1 2
42.14, 20.2, 7 1 -2
45.57, 20.1, 0 2 0
29.64, 18.1, 3 1 1
41.34, 15.6, 2 0 -4
31.43, 13.3, 6 0 -2
31.15, 11.0, 4 0 2

---

The following is a computed powder diffractogram of YHoI2N. It was derived from DFT lattice parameters and positions (GGA-PBE), using Cu Kα, 1.54184 Å.

Cell and atoms:
abc: 3.7702 3.7702 10.7939
angles: 90.00 90.00 120.00
Space group P3m1 (No. 156)
One atom of each set of equivalent atoms:
1 Y 0.0000 0.0000 0.0000 x1
2 Ho 0.6667 0.3333 0.7667 x1
3 I 0.0000 0.0000 0.5675 x1
4 I 0.6667 0.3333 0.2007 x1
5 N 0.3333 0.6667 0.8800 x1

Principal peaks in the range 15° ≤ 2θ ≤ 90°, most intense first:
2θ/deg, intensity, index
32.04, 100.0, 1 0 2
27.31, 29.9, 1 0 0
37.19, 27.5, 0 1 3
48.28, 27.4, 1 1 0
59.12, 17.0, 0 2 2
43.51, 15.5, 0 1 4
65.77, 14.8, 1 1 5
79.70, 14.3, 2 1 2
67.13, 13.4, 1 0 7
16.42, 11.8, 0 0 2